The following is a calculated X-ray diffraction stick pattern of CaCu4P2. It was derived from a crystal structure in the Materials Project, relaxed with PBE, using copper Kα.

Top 12 peaks for 2θ = 5–70°, in order of rising 2θ:
2θ (°)	d (Å)	Rel. int.	h k l
17.23	5.147	46	1 1 0
29.22	3.056	16	1 1 1
36.35	2.472	100	2 1 1
39.13	2.302	48	3 1 0
42.43	2.131	77	2 2 1
44.90	2.019	12	3 2 0
46.11	1.969	71	3 1 1
47.90	1.899	38	0 0 2
51.26	1.782	11	1 1 2
51.78	1.766	33	4 1 0
63.51	1.465	21	3 1 2
69.09	1.359	22	5 0 1

Structure:
```
data_CaCu4P2
_chemical_formula_sum 'Ca2 Cu8 P4'
_cell_length_a 7.279
_cell_length_b 7.279
_cell_length_c 3.798
_cell_angle_alpha 90.00
_cell_angle_beta 90.00
_cell_angle_gamma 90.00
_space_group_name_H-M_alt 'P 42/m n m'
_space_group_IT_number 136
_space_group_name_Hall '-P 4n 2n'
loop_
_atom_site_label
_atom_site_type_symbol
_atom_site_fract_x
_atom_site_fract_y
_atom_site_fract_z
Ca1 Ca 0.000 0.000 0.000
Cu1 Cu 0.085 0.336 0.500
P1 P 0.219 0.781 0.500
```